Record 1
Diffraction record for Cs3SnI7. The X-ray diffraction stick pattern is simulated, not measured: it uses a crystal structure in Alexandria, relaxed with PBE and Cu Kα X-rays.
Lines closer than 0.1° are merged.

The 12 most intense peaks (2θ = 10–90°), low angle first:
| 2θ/deg | intensity |
| --- | --- |
| 10.66 | 22 |
| 21.40 | 27 |
| 23.96 | 55 |
| 27.34 | 100 |
| 30.41 | 21 |
| 37.49 | 16 |
| 40.63 | 15 |
| 43.44 | 11 |
| 47.07 | 19 |
| 50.22 | 11 |
| 50.35 | 16 |
| 51.62 | 12 |

Structural model:
```
Cs3SnI7
1.0
11.7360 0.0000 0.0000
0.0000 11.7360 0.0000
0.0000 0.0000 8.3332
Cs Sn I
6 2 14
direct
0.0000 0.0000 0.0000
0.1707 0.3293 0.5000
0.3293 0.8293 0.5000
0.5000 0.5000 0.0000
0.6707 0.1707 0.5000
0.8293 0.6707 0.5000
0.0000 0.5000 0.0000
0.5000 0.0000 0.0000
0.0000 0.0000 0.5000
0.1223 0.6223 0.2523
0.1223 0.6223 0.7477
0.1733 0.3267 0.0000
0.3267 0.8267 0.0000
0.3777 0.1223 0.2523
0.3777 0.1223 0.7477
0.5000 0.5000 0.5000
0.6223 0.8777 0.2523
0.6223 0.8777 0.7477
0.6733 0.1733 0.0000
0.8267 0.6733 0.0000
0.8777 0.3777 0.2523
0.8777 0.3777 0.7477
```



Record 2
Diffraction record for CsTiSn2I8. The X-ray diffraction stick pattern is simulated, not measured: it uses a crystal structure in Alexandria, relaxed with PBE and Cu Kα X-rays.
Lines closer than 0.1° are merged.

The 12 most intense peaks (2θ = 10–90°), low angle first:
| 2θ/deg | intensity |
| --- | --- |
| 12.45 | 50 |
| 15.05 | 49 |
| 22.31 | 42 |
| 24.06 | 51 |
| 24.84 | 37 |
| 25.60 | 100 |
| 27.05 | 66 |
| 27.28 | 40 |
| 28.93 | 38 |
| 29.65 | 59 |
| 31.16 | 52 |
| 36.57 | 39 |

Structural model:
```
CsTiSn2I8
1.0
7.4169 0.0000 0.0000
2.1463 8.0250 0.0000
1.9923 2.8678 9.8265
Cs Ti Sn I
1 1 2 8
direct
0.0000 0.0000 0.0000
0.0000 0.0000 0.5000
0.4452 0.4261 0.2404
0.5548 0.5739 0.7596
0.1411 0.7251 0.7340
0.2472 0.8287 0.3287
0.2659 0.1924 0.4987
0.4327 0.2533 0.0342
0.5673 0.7467 0.9658
0.7341 0.8076 0.5013
0.7528 0.1713 0.6713
0.8589 0.2749 0.2660
```



Record 3
Diffraction record for Cs2ZnSnI6. The X-ray diffraction stick pattern is simulated, not measured: it uses a crystal structure in Alexandria, relaxed with PBE and Cu Kα X-rays.
Lines closer than 0.1° are merged.

The 12 most intense peaks (2θ = 10–90°), low angle first:
| 2θ/deg | intensity |
| --- | --- |
| 14.68 | 13 |
| 20.82 | 14 |
| 25.57 | 90 |
| 29.62 | 100 |
| 42.38 | 73 |
| 50.15 | 40 |
| 52.55 | 26 |
| 61.48 | 12 |
| 67.70 | 15 |
| 69.71 | 32 |
| 77.51 | 23 |
| 83.21 | 11 |

Structural model:
```
Cs2ZnSnI6
1.0
0.0000 6.0329 6.0329
6.0329 0.0000 6.0329
6.0329 6.0329 0.0000
Cs Zn Sn I
2 1 1 6
direct
0.2500 0.2500 0.2500
0.7500 0.7500 0.7500
0.0000 0.0000 0.0000
0.5000 0.5000 0.5000
0.2393 0.2393 0.7607
0.2393 0.7607 0.2393
0.2393 0.7607 0.7607
0.7607 0.2393 0.2393
0.7607 0.2393 0.7607
0.7607 0.7607 0.2393
```



Record 4
Diffraction record for CsSrI3. The X-ray diffraction stick pattern is simulated, not measured: it uses a crystal structure in Alexandria, relaxed with PBE and Cu Kα X-rays.
Lines closer than 0.1° are merged.

The 12 most intense peaks (2θ = 10–90°), low angle first:
| 2θ/deg | intensity |
| --- | --- |
| 18.25 | 38 |
| 21.51 | 100 |
| 22.34 | 16 |
| 26.00 | 11 |
| 29.07 | 23 |
| 32.07 | 75 |
| 38.72 | 21 |
| 38.96 | 21 |
| 39.44 | 21 |
| 51.32 | 18 |
| 56.83 | 23 |
| 57.19 | 12 |

Structural model:
```
CsSrI3
1.0
4.8322 2.7899 7.9597
-4.8322 2.7899 7.9597
0.0000 -5.5798 7.9597
Cs Sr I
2 2 6
direct
0.0000 0.0000 0.0000
0.5000 0.5000 0.5000
0.2500 0.2500 0.2500
0.7500 0.7500 0.7500
0.0727 0.7500 0.4273
0.2500 0.5727 0.9273
0.4273 0.0727 0.7500
0.5727 0.9273 0.2500
0.7500 0.4273 0.0727
0.9273 0.2500 0.5727
```



Record 5
Diffraction record for CsSr4I8. The X-ray diffraction stick pattern is simulated, not measured: it uses a crystal structure in Alexandria, relaxed with PBE and Cu Kα X-rays.
Lines closer than 0.1° are merged.

The 12 most intense peaks (2θ = 10–90°), low angle first:
| 2θ/deg | intensity |
| --- | --- |
| 23.87 | 100 |
| 24.12 | 32 |
| 24.40 | 60 |
| 25.27 | 74 |
| 25.58 | 51 |
| 30.45 | 51 |
| 34.48 | 34 |
| 37.09 | 40 |
| 37.97 | 69 |
| 44.02 | 23 |
| 44.89 | 23 |
| 45.60 | 29 |

Structural model:
```
CsSr4I8
1.0
11.1596 -2.4239 0.0000
11.1596 2.4239 0.0000
-9.5956 0.0000 12.1228
Cs Sr I
1 4 8
direct
0.0000 0.0000 0.0000
0.1396 0.1396 0.4603
0.3339 0.3339 0.1626
0.6569 0.6569 0.8264
0.8511 0.8511 0.5295
0.0324 0.0324 0.7592
0.2860 0.2860 0.9123
0.3283 0.3283 0.6551
0.3711 0.3711 0.4055
0.6181 0.6181 0.5826
0.6623 0.6623 0.3342
0.7044 0.7044 0.0766
0.9584 0.9584 0.2304
```